For La3Mg2W2O12, a PBE+U-relaxed structure gives the simulated PXRD pattern in this record (Cu Kα (weighted mean of Kα1 and Kα2)).

Structure:
a = 5.643 Å, b = 5.643 Å, c = 7.916 Å
α = 90.00°, β = 90.00°, γ = 90.00°
Fractional positions:
La: 0.000 0.000 0.000
La: 0.000 0.000 0.500
La: 0.500 0.500 0.000
Mg: 0.000 0.500 0.254
Mg: 0.500 0.000 0.746
W: 0.000 0.500 0.745
W: 0.500 0.000 0.255
O: 0.000 0.500 0.507
O: 0.000 0.500 0.996
O: 0.236 0.243 0.766
O: 0.236 0.757 0.766
O: 0.243 0.236 0.234
O: 0.243 0.764 0.234
O: 0.500 0.000 0.004
O: 0.500 0.000 0.493
O: 0.757 0.236 0.234
O: 0.757 0.764 0.234
O: 0.764 0.243 0.766
O: 0.764 0.757 0.766

Top 8 peaks for 2θ from 10° to 90°, in order of falling intensity:
(hkl)	d [Å]	I/Imax
1 1 2	2.810	100
1 0 1	4.595	70
2 0 0	2.822	51
3 1 2	1.627	41
2 2 0	1.995	33
2 1 1	2.404	26
2 0 4	1.620	20
2 2 4	1.405	19